Diffraction record for ZnH2O2. The PXRD pattern is calculated, not measured: it uses a GGA-PBE-relaxed structure and Cu Ka.
Kinematic intensities with the Lorentz-polarization factor, no thermal factor.

Principal peaks in the range 5 to 70 degrees two-theta, in order of falling intensity:
| 2θ/deg | intensity |
| --- | --- |
| 37.8 | 100 |
| 19.7 | 78 |
| 52.0 | 47 |
| 31.9 | 38 |
| 56.8 | 25 |
| 60.8 | 21 |
| 66.7 | 5 |
| 39.9 | 4 |
| 61.6 | 2 |

Cell and atoms:
```
data_ZnH2O2
_chemical_formula_sum 'Zn1 H2 O2'
_symmetry_space_group_name_H-M 'P 1'
_symmetry_Int_Tables_number 1
_cell_length_a 3.239
_cell_length_b 3.239
_cell_length_c 4.516
_cell_angle_alpha 90.00
_cell_angle_beta 90.00
_cell_angle_gamma 120.00
loop_
_symmetry_equiv_pos_as_xyz
'x,y,z'
loop_
_atom_site_label
_atom_site_type_symbol
_atom_site_fract_x
_atom_site_fract_y
_atom_site_fract_z
_atom_site_occupancy
Zn1 Zn 0.000 0.000 0.000 1
H1 H 0.333 0.667 0.448 1
H2 H 0.667 0.333 0.552 1
O1 O 0.333 0.667 0.232 1
O2 O 0.667 0.333 0.768 1
```

***

Diffraction record for Ba2B2O5. The PXRD pattern is calculated, not measured: it uses a GGA-PBE-relaxed structure and Cu Ka.
Kinematic intensities with the Lorentz-polarization factor, no thermal factor.

Principal peaks in the range 5 to 70 degrees two-theta, in order of falling intensity:
| 2θ/deg | intensity |
| --- | --- |
| 26.9 | 100 |
| 17.9 | 48 |
| 25.2 | 43 |
| 28.0 | 38 |
| 25.1 | 37 |
| 27.7 | 30 |
| 42.3 | 29 |
| 27.6 | 27 |
| 43.2 | 24 |
| 42.6 | 22 |

Cell and atoms:
```
data_Ba2B2O5
_chemical_formula_sum 'Ba8 B8 O20'
_symmetry_space_group_name_H-M 'P 1'
_symmetry_Int_Tables_number 1
_cell_length_a 11.058
_cell_length_b 4.242
_cell_length_c 13.470
_cell_angle_alpha 90.00
_cell_angle_beta 106.03
_cell_angle_gamma 90.00
loop_
_symmetry_equiv_pos_as_xyz
'x,y,z'
loop_
_atom_site_label
_atom_site_type_symbol
_atom_site_fract_x
_atom_site_fract_y
_atom_site_fract_z
_atom_site_occupancy
Ba1 Ba 0.086 0.227 0.162 1
Ba2 Ba 0.086 0.273 0.662 1
Ba3 Ba 0.395 0.745 0.107 1
Ba4 Ba 0.395 0.755 0.607 1
Ba5 Ba 0.605 0.245 0.393 1
Ba6 Ba 0.605 0.255 0.893 1
Ba7 Ba 0.914 0.727 0.338 1
Ba8 Ba 0.914 0.773 0.838 1
B1 B 0.193 0.160 0.431 1
B2 B 0.193 0.340 0.931 1
B3 B 0.325 0.689 0.826 1
B4 B 0.325 0.811 0.326 1
B5 B 0.675 0.189 0.674 1
B6 B 0.675 0.311 0.174 1
B7 B 0.807 0.660 0.069 1
B8 B 0.807 0.840 0.569 1
O1 O 0.079 0.205 0.359 1
O2 O 0.079 0.295 0.859 1
O3 O 0.223 0.232 0.031 1
O4 O 0.223 0.268 0.531 1
O5 O 0.238 0.741 0.234 1
O6 O 0.238 0.759 0.734 1
O7 O 0.293 0.520 0.907 1
O8 O 0.293 0.980 0.407 1
O9 O 0.451 0.741 0.345 1
O10 O 0.451 0.759 0.845 1
O11 O 0.549 0.241 0.155 1
O12 O 0.549 0.259 0.655 1
O13 O 0.707 0.020 0.593 1
O14 O 0.707 0.480 0.093 1
O15 O 0.762 0.241 0.266 1
O16 O 0.762 0.259 0.766 1
O17 O 0.777 0.732 0.469 1
O18 O 0.777 0.768 0.969 1
O19 O 0.921 0.705 0.141 1
O20 O 0.921 0.795 0.641 1
```

***

Diffraction record for ErS2. The PXRD pattern is calculated, not measured: it uses a GGA-PBE-relaxed structure and Cu Ka.
Kinematic intensities with the Lorentz-polarization factor, no thermal factor.

Principal peaks in the range 5 to 70 degrees two-theta, in order of falling intensity:
| 2θ/deg | intensity |
| --- | --- |
| 25.9 | 100 |
| 40.4 | 60 |
| 41.7 | 43 |
| 33.1 | 38 |
| 22.6 | 29 |
| 54.8 | 27 |
| 47.4 | 27 |
| 65.0 | 23 |
| 35.0 | 15 |
| 53.2 | 12 |

Cell and atoms:
```
data_ErS2
_chemical_formula_sum 'Er2 S4'
_symmetry_space_group_name_H-M 'P 1'
_symmetry_Int_Tables_number 1
_cell_length_a 3.833
_cell_length_b 3.833
_cell_length_c 7.877
_cell_angle_alpha 90.00
_cell_angle_beta 90.00
_cell_angle_gamma 90.00
loop_
_symmetry_equiv_pos_as_xyz
'x,y,z'
loop_
_atom_site_label
_atom_site_type_symbol
_atom_site_fract_x
_atom_site_fract_y
_atom_site_fract_z
_atom_site_occupancy
Er1 Er 0.250 0.250 0.226 1
Er2 Er 0.750 0.750 0.774 1
S1 S 0.250 0.250 0.870 1
S2 S 0.250 0.750 0.500 1
S3 S 0.750 0.250 0.500 1
S4 S 0.750 0.750 0.130 1
```

***

Diffraction record for ThCo5. The PXRD pattern is calculated, not measured: it uses a GGA-PBE-relaxed structure and Cu Ka.
Kinematic intensities with the Lorentz-polarization factor, no thermal factor.

Principal peaks in the range 5 to 70 degrees two-theta, in order of falling intensity:
| 2θ/deg | intensity |
| --- | --- |
| 43.0 | 100 |
| 30.5 | 75 |
| 36.4 | 39 |
| 42.2 | 38 |
| 45.1 | 24 |
| 70.0 | 23 |
| 63.5 | 22 |
| 61.8 | 21 |
| 59.3 | 19 |
| 20.8 | 17 |

Cell and atoms:
```
data_ThCo5
_chemical_formula_sum 'Th1 Co5'
_symmetry_space_group_name_H-M 'P 1'
_symmetry_Int_Tables_number 1
_cell_length_a 4.941
_cell_length_b 4.941
_cell_length_c 4.020
_cell_angle_alpha 90.00
_cell_angle_beta 90.00
_cell_angle_gamma 120.00
loop_
_symmetry_equiv_pos_as_xyz
'x,y,z'
loop_
_atom_site_label
_atom_site_type_symbol
_atom_site_fract_x
_atom_site_fract_y
_atom_site_fract_z
_atom_site_occupancy
Th1 Th 0.000 0.000 0.000 1
Co1 Co 0.000 0.500 0.500 1
Co2 Co 0.333 0.667 0.000 1
Co3 Co 0.500 0.000 0.500 1
Co4 Co 0.500 0.500 0.500 1
Co5 Co 0.667 0.333 0.000 1
```

***

Diffraction record for AgSO3F. The PXRD pattern is calculated, not measured: it uses a GGA-PBE-relaxed structure and Cu Ka.
Kinematic intensities with the Lorentz-polarization factor, no thermal factor.

Principal peaks in the range 5 to 70 degrees two-theta, in order of falling intensity:
| 2θ/deg | intensity |
| --- | --- |
| 28.8 | 100 |
| 29.8 | 59 |
| 22.8 | 56 |
| 32.7 | 37 |
| 39.4 | 25 |
| 19.1 | 22 |
| 49.6 | 19 |
| 43.2 | 18 |
| 29.1 | 17 |
| 34.5 | 16 |

Cell and atoms:
```
data_AgSO3F
_chemical_formula_sum 'Ag4 S4 O12 F4'
_symmetry_space_group_name_H-M 'P 1'
_symmetry_Int_Tables_number 1
_cell_length_a 5.487
_cell_length_b 8.329
_cell_length_c 7.826
_cell_angle_alpha 90.00
_cell_angle_beta 94.35
_cell_angle_gamma 90.00
loop_
_symmetry_equiv_pos_as_xyz
'x,y,z'
loop_
_atom_site_label
_atom_site_type_symbol
_atom_site_fract_x
_atom_site_fract_y
_atom_site_fract_z
_atom_site_occupancy
Ag1 Ag 0.210 0.000 0.204 1
Ag2 Ag 0.211 0.527 0.212 1
Ag3 Ag 0.789 0.027 0.788 1
Ag4 Ag 0.790 0.500 0.796 1
S1 S 0.272 0.281 0.652 1
S2 S 0.317 0.765 0.825 1
S3 S 0.683 0.265 0.175 1
S4 S 0.728 0.781 0.348 1
O1 O 0.059 0.263 0.752 1
O2 O 0.211 0.617 0.885 1
O3 O 0.214 0.913 0.886 1
O4 O 0.260 0.411 0.529 1
O5 O 0.415 0.264 0.172 1
O6 O 0.493 0.763 0.248 1
O7 O 0.507 0.263 0.752 1
O8 O 0.585 0.764 0.828 1
O9 O 0.740 0.911 0.471 1
O10 O 0.786 0.413 0.114 1
O11 O 0.789 0.117 0.115 1
O12 O 0.941 0.763 0.248 1
F1 F 0.234 0.766 0.623 1
F2 F 0.260 0.118 0.535 1
F3 F 0.740 0.618 0.465 1
F4 F 0.766 0.266 0.377 1
```

***

Diffraction record for Pr2ZnP2O. The PXRD pattern is calculated, not measured: it uses a GGA-PBE-relaxed structure and Cu Ka.
Kinematic intensities with the Lorentz-polarization factor, no thermal factor.

Principal peaks in the range 5 to 70 degrees two-theta, in order of falling intensity:
| 2θ/deg | intensity |
| --- | --- |
| 25.8 | 100 |
| 36.9 | 50 |
| 31.8 | 40 |
| 6.0 | 39 |
| 18.2 | 38 |
| 53.1 | 29 |
| 45.6 | 26 |
| 41.4 | 20 |
| 35.8 | 19 |
| 59.9 | 18 |

Cell and atoms:
```
data_Pr2ZnP2O
_chemical_formula_sum 'Pr2 Zn1 P2 O1'
_symmetry_space_group_name_H-M 'P 1'
_symmetry_Int_Tables_number 1
_cell_length_a 3.450
_cell_length_b 3.450
_cell_length_c 14.617
_cell_angle_alpha 90.00
_cell_angle_beta 90.00
_cell_angle_gamma 90.00
loop_
_symmetry_equiv_pos_as_xyz
'x,y,z'
loop_
_atom_site_label
_atom_site_type_symbol
_atom_site_fract_x
_atom_site_fract_y
_atom_site_fract_z
_atom_site_occupancy
Pr1 Pr 0.000 0.000 0.146 1
Pr2 Pr 0.000 0.000 0.854 1
Zn1 Zn 0.000 0.000 0.500 1
P1 P 0.000 0.000 0.348 1
P2 P 0.000 0.000 0.652 1
O1 O 0.000 0.000 0.000 1
```

***

Diffraction record for Ba2SmPaO6. The PXRD pattern is calculated, not measured: it uses a GGA-PBE-relaxed structure and Cu Ka.
Kinematic intensities with the Lorentz-polarization factor, no thermal factor.

Principal peaks in the range 5 to 70 degrees two-theta, in order of falling intensity:
| 2θ/deg | intensity |
| --- | --- |
| 28.1 | 100 |
| 49.7 | 43 |
| 40.1 | 29 |
| 65.7 | 19 |
| 58.0 | 19 |
| 19.8 | 7 |
| 17.1 | 4 |
| 45.1 | 3 |
| 33.0 | 2 |
| 61.9 | 2 |

Cell and atoms:
```
data_Ba2SmPaO6
_chemical_formula_sum 'Ba2 Sm1 Pa1 O6'
_symmetry_space_group_name_H-M 'P 1'
_symmetry_Int_Tables_number 1
_cell_length_a 6.356
_cell_length_b 6.356
_cell_length_c 6.356
_cell_angle_alpha 60.00
_cell_angle_beta 60.00
_cell_angle_gamma 60.00
loop_
_symmetry_equiv_pos_as_xyz
'x,y,z'
loop_
_atom_site_label
_atom_site_type_symbol
_atom_site_fract_x
_atom_site_fract_y
_atom_site_fract_z
_atom_site_occupancy
Ba1 Ba 0.250 0.250 0.250 1
Ba2 Ba 0.750 0.750 0.750 1
Sm1 Sm 0.000 0.000 0.000 1
Pa1 Pa 0.500 0.500 0.500 1
O1 O 0.257 0.257 0.743 1
O2 O 0.257 0.743 0.257 1
O3 O 0.257 0.743 0.743 1
O4 O 0.743 0.257 0.257 1
O5 O 0.743 0.257 0.743 1
O6 O 0.743 0.743 0.257 1
```

***

Diffraction record for NdSi2Ru. The PXRD pattern is calculated, not measured: it uses a GGA-PBE-relaxed structure and Cu Ka.
Kinematic intensities with the Lorentz-polarization factor, no thermal factor.

Principal peaks in the range 5 to 70 degrees two-theta, in order of falling intensity:
| 2θ/deg | intensity |
| --- | --- |
| 30.4 | 100 |
| 33.3 | 76 |
| 31.1 | 76 |
| 35.1 | 67 |
| 39.9 | 60 |
| 32.9 | 56 |
| 29.9 | 49 |
| 44.5 | 49 |
| 40.1 | 43 |
| 57.9 | 31 |

Cell and atoms:
```
data_NdSi2Ru
_chemical_formula_sum 'Nd2 Si4 Ru2'
_symmetry_space_group_name_H-M 'P 1'
_symmetry_Int_Tables_number 1
_cell_length_a 4.511
_cell_length_b 4.070
_cell_length_c 8.314
_cell_angle_alpha 90.00
_cell_angle_beta 101.88
_cell_angle_gamma 90.00
loop_
_symmetry_equiv_pos_as_xyz
'x,y,z'
loop_
_atom_site_label
_atom_site_type_symbol
_atom_site_fract_x
_atom_site_fract_y
_atom_site_fract_z
_atom_site_occupancy
Nd1 Nd 0.084 0.250 0.200 1
Nd2 Nd 0.916 0.750 0.800 1
Si1 Si 0.167 0.750 0.491 1
Si2 Si 0.464 0.250 0.909 1
Si3 Si 0.536 0.750 0.091 1
Si4 Si 0.833 0.250 0.509 1
Ru1 Ru 0.379 0.250 0.612 1
Ru2 Ru 0.621 0.750 0.388 1
```

***

Diffraction record for Rb2ThAs2O8. The PXRD pattern is calculated, not measured: it uses a GGA-PBE-relaxed structure and Cu Ka.
Kinematic intensities with the Lorentz-polarization factor, no thermal factor.

Principal peaks in the range 5 to 70 degrees two-theta, in order of falling intensity:
| 2θ/deg | intensity |
| --- | --- |
| 26.7 | 100 |
| 27.2 | 45 |
| 28.4 | 44 |
| 30.8 | 35 |
| 14.3 | 27 |
| 52.4 | 25 |
| 35.0 | 24 |
| 40.8 | 21 |
| 48.1 | 18 |
| 13.9 | 17 |

Cell and atoms:
```
data_Rb2ThAs2O8
_chemical_formula_sum 'Rb8 Th4 As8 O32'
_symmetry_space_group_name_H-M 'P 1'
_symmetry_Int_Tables_number 1
_cell_length_a 8.183
_cell_length_b 11.598
_cell_length_c 10.262
_cell_angle_alpha 90.00
_cell_angle_beta 116.90
_cell_angle_gamma 90.00
loop_
_symmetry_equiv_pos_as_xyz
'x,y,z'
loop_
_atom_site_label
_atom_site_type_symbol
_atom_site_fract_x
_atom_site_fract_y
_atom_site_fract_z
_atom_site_occupancy
Rb1 Rb 0.149 0.125 0.049 1
Rb2 Rb 0.149 0.375 0.549 1
Rb3 Rb 0.336 0.115 0.456 1
Rb4 Rb 0.336 0.385 0.956 1
Rb5 Rb 0.664 0.615 0.044 1
Rb6 Rb 0.664 0.885 0.544 1
Rb7 Rb 0.851 0.625 0.451 1
Rb8 Rb 0.851 0.875 0.951 1
Th1 Th 0.256 0.639 0.279 1
Th2 Th 0.256 0.861 0.779 1
Th3 Th 0.744 0.139 0.221 1
Th4 Th 0.744 0.361 0.721 1
As1 As 0.065 0.639 0.853 1
As2 As 0.065 0.861 0.353 1
As3 As 0.462 0.632 0.634 1
As4 As 0.462 0.868 0.134 1
As5 As 0.538 0.132 0.866 1
As6 As 0.538 0.368 0.366 1
As7 As 0.935 0.139 0.647 1
As8 As 0.935 0.361 0.147 1
O1 O 0.034 0.240 0.250 1
O2 O 0.034 0.260 0.750 1
O3 O 0.036 0.014 0.739 1
O4 O 0.036 0.486 0.239 1
O5 O 0.067 0.643 0.022 1
O6 O 0.067 0.857 0.522 1
O7 O 0.235 0.606 0.513 1
O8 O 0.235 0.894 0.013 1
O9 O 0.283 0.653 0.868 1
O10 O 0.283 0.847 0.368 1
O11 O 0.431 0.018 0.749 1
O12 O 0.431 0.482 0.249 1
O13 O 0.453 0.145 0.992 1
O14 O 0.453 0.355 0.492 1
O15 O 0.487 0.742 0.230 1
O16 O 0.487 0.758 0.730 1
O17 O 0.513 0.242 0.270 1
O18 O 0.513 0.258 0.770 1
O19 O 0.547 0.645 0.508 1
O20 O 0.547 0.855 0.008 1
O21 O 0.569 0.518 0.751 1
O22 O 0.569 0.982 0.251 1
O23 O 0.717 0.153 0.632 1
O24 O 0.717 0.347 0.132 1
O25 O 0.765 0.106 0.987 1
O26 O 0.765 0.394 0.487 1
O27 O 0.933 0.143 0.478 1
O28 O 0.933 0.357 0.978 1
O29 O 0.964 0.514 0.761 1
O30 O 0.964 0.986 0.261 1
O31 O 0.966 0.740 0.250 1
O32 O 0.966 0.760 0.750 1
```

***

Diffraction record for KRbMg6O7. The PXRD pattern is calculated, not measured: it uses a GGA-PBE-relaxed structure and Cu Ka.
Kinematic intensities with the Lorentz-polarization factor, no thermal factor.

Principal peaks in the range 5 to 70 degrees two-theta, in order of falling intensity:
| 2θ/deg | intensity |
| --- | --- |
| 36.5 | 100 |
| 34.1 | 34 |
| 52.5 | 31 |
| 59.4 | 25 |
| 28.7 | 17 |
| 38.3 | 16 |
| 45.2 | 16 |
| 64.1 | 13 |
| 18.0 | 12 |
| 11.0 | 12 |

Cell and atoms:
```
data_KRbMg6O7
_chemical_formula_sum 'K1 Rb1 Mg6 O7'
_symmetry_space_group_name_H-M 'P 1'
_symmetry_Int_Tables_number 1
_cell_length_a 4.929
_cell_length_b 4.929
_cell_length_c 8.022
_cell_angle_alpha 90.00
_cell_angle_beta 90.00
_cell_angle_gamma 90.00
loop_
_symmetry_equiv_pos_as_xyz
'x,y,z'
loop_
_atom_site_label
_atom_site_type_symbol
_atom_site_fract_x
_atom_site_fract_y
_atom_site_fract_z
_atom_site_occupancy
K1 K 0.000 0.000 0.000 1
Rb1 Rb 0.000 0.000 0.421 1
Mg1 Mg 0.000 0.500 0.232 1
Mg2 Mg 0.000 0.500 0.729 1
Mg3 Mg 0.500 0.000 0.232 1
Mg4 Mg 0.500 0.000 0.729 1
Mg5 Mg 0.500 0.500 0.487 1
Mg6 Mg 0.500 0.500 0.980 1
O1 O 0.000 0.000 0.717 1
O2 O 0.000 0.500 0.474 1
O3 O 0.000 0.500 0.993 1
O4 O 0.500 0.000 0.474 1
O5 O 0.500 0.000 0.993 1
O6 O 0.500 0.500 0.234 1
O7 O 0.500 0.500 0.734 1
```

***

Diffraction record for LaSbSe. The PXRD pattern is calculated, not measured: it uses a GGA-PBE-relaxed structure and Cu Ka.
Kinematic intensities with the Lorentz-polarization factor, no thermal factor.

Principal peaks in the range 5 to 70 degrees two-theta, in order of falling intensity:
| 2θ/deg | intensity |
| --- | --- |
| 31.0 | 100 |
| 35.3 | 86 |
| 28.8 | 55 |
| 35.7 | 28 |
| 42.2 | 27 |
| 42.0 | 25 |
| 51.9 | 21 |
| 51.7 | 20 |
| 68.9 | 17 |
| 61.0 | 16 |

Cell and atoms:
```
data_LaSbSe
_chemical_formula_sum 'La4 Sb4 Se4'
_symmetry_space_group_name_H-M 'P 1'
_symmetry_Int_Tables_number 1
_cell_length_a 4.281
_cell_length_b 18.584
_cell_length_c 6.069
_cell_angle_alpha 90.00
_cell_angle_beta 134.81
_cell_angle_gamma 90.00
loop_
_symmetry_equiv_pos_as_xyz
'x,y,z'
loop_
_atom_site_label
_atom_site_type_symbol
_atom_site_fract_x
_atom_site_fract_y
_atom_site_fract_z
_atom_site_occupancy
La1 La 0.024 0.149 0.269 1
La2 La 0.024 0.351 0.769 1
La3 La 0.976 0.649 0.231 1
La4 La 0.976 0.851 0.731 1
Sb1 Sb 0.475 0.502 0.726 1
Sb2 Sb 0.475 0.998 0.226 1
Sb3 Sb 0.525 0.002 0.774 1
Sb4 Sb 0.525 0.498 0.274 1
Se1 Se 0.024 0.185 0.766 1
Se2 Se 0.024 0.315 0.266 1
Se3 Se 0.976 0.685 0.734 1
Se4 Se 0.976 0.815 0.234 1
```

***

Q: Number 2 is which compound?
A: Ba2B2O5